No. 1
Structure and simulated X-ray diffraction stick pattern of RhO2F4 (a DFT-relaxed cell (PBE, Alexandria); Cu Kα, 1.54184 Å).

Largest 12 diffraction maxima, sorted by position, 2θ from 15° to 90°:
- 2θ = 20.6°, intensity 58
- 2θ = 21.4°, intensity 100
- 2θ = 23.5°, intensity 71
- 2θ = 26.0°, intensity 83
- 2θ = 29.6°, intensity 40
- 2θ = 35.0°, intensity 34
- 2θ = 35.9°, intensity 36
- 2θ = 37.1°, intensity 48
- 2θ = 37.5°, intensity 25
- 2θ = 40.4°, intensity 33
- 2θ = 43.3°, intensity 45
- 2θ = 48.1°, intensity 23

```
data_RhO2F4
_cell_length_a 3.1502
_cell_length_b 4.4153
_cell_length_c 7.8116
_cell_angle_alpha 77.25
_cell_angle_beta 83.30
_cell_angle_gamma 89.90
_space_group_name_H-M_alt 'P -1'
_space_group_IT_number 2
loop_
_space_group_symop_operation_xyz
'x,y,z'
'-x,-y,-z'
loop_
_atom_site_label
_atom_site_type_symbol
_atom_site_fract_x
_atom_site_fract_y
_atom_site_fract_z
_atom_site_occupancy
Rh1 Rh 0.0000 0.0000 0.0000 1
O1 O 0.3808 0.3909 0.5025 1
F1 F 0.0570 0.8187 0.7981 1
F2 F 0.4706 0.7366 0.1032 1
```

No. 2
Structure and simulated X-ray diffraction stick pattern of RuO2F5 (a DFT-relaxed cell (PBE, Alexandria); Cu Kα, 1.54184 Å).

Largest 12 diffraction maxima, sorted by position, 2θ from 15° to 90°:
- 2θ = 15.0°, intensity 100
- 2θ = 20.4°, intensity 34
- 2θ = 22.1°, intensity 23
- 2θ = 24.4°, intensity 30
- 2θ = 24.7°, intensity 51
- 2θ = 30.3°, intensity 42
- 2θ = 32.3°, intensity 19
- 2θ = 45.7°, intensity 15
- 2θ = 46.2°, intensity 12
- 2θ = 47.6°, intensity 13
- 2θ = 47.7°, intensity 18
- 2θ = 66.5°, intensity 11

```
data_RuO2F5
_cell_length_a 8.0317
_cell_length_b 8.6956
_cell_length_c 4.0265
_cell_angle_alpha 90.00
_cell_angle_beta 90.00
_cell_angle_gamma 90.00
_space_group_name_H-M_alt 'I m m 2'
_space_group_IT_number 44
loop_
_space_group_symop_operation_xyz
'x,y,z'
'-x,-y,z'
'-x,y,z'
'x,-y,z'
'x+1/2,y+1/2,z+1/2'
'-x+1/2,-y+1/2,z+1/2'
'-x+1/2,y+1/2,z+1/2'
'x+1/2,-y+1/2,z+1/2'
loop_
_atom_site_label
_atom_site_type_symbol
_atom_site_fract_x
_atom_site_fract_y
_atom_site_fract_z
_atom_site_occupancy
Ru1 Ru 0.0000 0.0000 0.0000 1
O1 O 0.0000 0.5000 0.1420 1
O2 O 0.0000 0.5000 0.8402 1
F1 F 0.0000 0.0000 0.5000 1
F2 F 0.1657 0.1521 0.0003 1
```